Entry 1:
The following is a simulated X-ray powder pattern of LiMn2P4O14. It was derived from a DFT-relaxed cell (GGA+U, the Materials Project), using Cu Kα, 1.54184 Å.

Peak list (8 most intense, 2θ = 15–90°, most intense first)
2theta	I/Imax	h k l
23.97	100	1 0 -2
22.81	68	1 -1 1
30.59	57	1 0 2
30.14	42	0 2 0
20.03	40	0 1 1
31.31	39	1 -2 1
28.55	23	1 1 -2
16.03	17	0 1 -1

Lattice parameters (Å, degrees): 5.2133 6.2855 9.0496 100.28 100.53 104.02
Space group P1 (No. 1)
Unique sites:
Li1 0.0000 0.0000 0.0000 [1 per cell]
Mn1 0.2768 0.6699 0.8279 [1 per cell]
Mn2 0.7888 0.1944 0.5383 [1 per cell]
P1 0.2746 0.2875 0.3358 [1 per cell]
P2 0.4084 0.1972 0.8011 [1 per cell]
P3 0.6633 0.6740 0.5651 [1 per cell]
P4 0.8112 0.5805 0.0443 [1 per cell]
O1 0.0546 0.6705 0.9746 [1 per cell]
O2 0.0725 0.2297 0.4340 [1 per cell]
O3 0.1514 0.2642 0.1661 [1 per cell]
O4 0.2074 0.3413 0.7841 [1 per cell]
O5 0.2558 0.9844 0.8459 [1 per cell]
O6 0.4416 0.5524 0.4082 [1 per cell]
O7 0.4845 0.1544 0.3492 [1 per cell]
O8 0.5232 0.1480 0.6615 [1 per cell]
O9 0.5236 0.7120 0.6981 [1 per cell]
O10 0.6233 0.7301 0.0163 [1 per cell]
O11 0.6588 0.3224 0.9459 [1 per cell]
O12 0.8261 0.8958 0.5406 [1 per cell]
O13 0.8594 0.5285 0.6005 [1 per cell]
O14 0.8935 0.5709 0.2109 [1 per cell]

Entry 2:
The following is a simulated X-ray powder pattern of LiMnPO4. It was derived from a DFT-relaxed cell (GGA+U, the Materials Project), using Cu Kα, 1.54184 Å.

Peak list (8 most intense, 2θ = 15–90°, most intense first)
2theta	I/Imax	h k l
34.74	100	3 1 1
24.99	86	1 1 1
28.91	78	0 2 0
20.34	58	1 0 1
51.25	41	2 2 2
35.60	31	1 2 1
31.47	25	3 0 1
16.74	25	2 0 0

Lattice parameters (Å, degrees): 10.5942 6.1786 4.7920 90.00 90.00 90.00
Space group Pnma (No. 62)
Unique sites:
Li1 0.0000 0.0000 0.0000 [4 per cell]
Mn1 0.2188 0.2500 0.4726 [4 per cell]
P1 0.0921 0.7500 0.4104 [4 per cell]
O1 0.0443 0.2500 0.7100 [4 per cell]
O2 0.0966 0.7500 0.7313 [4 per cell]
O3 0.1611 0.5495 0.2775 [8 per cell]

Repeat the second record exactly.
The following is a simulated X-ray powder pattern of LiMnPO4. It was derived from a DFT-relaxed cell (GGA+U, the Materials Project), using Cu Kα, 1.54184 Å.

Peak list (8 most intense, 2θ = 15–90°, most intense first)
2theta	I/Imax	h k l
34.74	100	3 1 1
24.99	86	1 1 1
28.91	78	0 2 0
20.34	58	1 0 1
51.25	41	2 2 2
35.60	31	1 2 1
31.47	25	3 0 1
16.74	25	2 0 0

Lattice parameters (Å, degrees): 10.5942 6.1786 4.7920 90.00 90.00 90.00
Space group Pnma (No. 62)
Unique sites:
Li1 0.0000 0.0000 0.0000 [4 per cell]
Mn1 0.2188 0.2500 0.4726 [4 per cell]
P1 0.0921 0.7500 0.4104 [4 per cell]
O1 0.0443 0.2500 0.7100 [4 per cell]
O2 0.0966 0.7500 0.7313 [4 per cell]
O3 0.1611 0.5495 0.2775 [8 per cell]

Which formula does entry 2 have? LiMnPO4